No. 1
# Tb4Al24Pt9
Simulated PXRD pattern, Cu Kα, 1.54184 Å. Input: the GGA-PBE geometry in the Materials Project.
Peak positions follow from Bragg's law for the DFT cell and can differ from measured ones.

Most intense lines, 2θ from 15° to 90°, low angle first:
Position (°2θ), intensity
20.51, 30.4
23.72, 60.4
23.79, 30.0
28.58, 61.8
28.69, 30.9
29.99, 100.0
41.48, 74.9
41.67, 49.0

Structural model:
```
37
Lattice="7.5156 0.0000 0.0000 3.7319 6.5340 0.0000 2.4738 -0.0075 12.9914" Properties=species:S:1:pos:R:3 pbc="T T T"
Tb 2.4648 2.1641 3.9994
Tb 7.4490 6.5183 8.9954
Tb 6.2724 0.0083 3.9960
Tb 11.2566 4.3625 8.9920
Al 3.7241 4.3520 5.7742
Al 3.7875 4.3469 2.2092
Al 2.4908 2.1760 0.7629
Al 3.7267 0.0019 12.2263
Al 5.4774 5.6694 4.1016
Al 6.2476 4.3050 10.7917
Al 6.2331 4.3616 7.1023
Al 3.7521 0.0043 5.7786
Al 5.4691 2.9935 4.1064
Al 5.9368 2.1897 8.8731
Al 7.4661 6.4930 2.2085
Al 6.2460 4.3635 0.7903
Al 7.4753 2.1631 12.2011
Al 6.2552 0.0336 10.7829
Al 7.7846 4.3369 4.1183
Al 8.2523 3.5330 8.8850
Al 9.9693 6.5223 7.2128
Al 7.4882 2.1650 5.8891
Al 7.4737 2.2216 2.1997
Al 8.2440 0.8571 8.8898
Al 9.9947 6.5247 0.7651
Al 11.2306 4.3506 12.2285
Al 9.9338 2.1797 10.7822
Al 9.9972 2.1746 7.2172
Pt 1.2369 -0.0037 6.4957
Pt 1.2203 0.0450 1.8000
Pt 4.9191 2.1712 11.1903
Pt 4.9329 2.1464 6.4945
Pt 4.9672 2.1277 1.7777
Pt 8.7541 4.3989 11.2137
Pt 8.7884 4.3802 6.4969
Pt 8.8023 4.3553 1.8011
Pt 12.5010 6.4816 11.1914
```

No. 2
# Th2Fe2Si2C
Simulated PXRD pattern, Cu Kα, 1.54184 Å. Input: the GGA-PBE geometry in the Materials Project.
Peak positions follow from Bragg's law for the DFT cell and can differ from measured ones.

Most intense lines, 2θ from 15° to 90°, low angle first:
Position (°2θ), intensity
24.71, 66.2
25.24, 38.8
33.55, 76.8
34.56, 24.8
34.70, 24.8
35.59, 100.0
45.41, 23.9
58.33, 30.0

Structural model:
```
7
Lattice="5.4526 -1.9971 0.0000 5.4526 1.9971 0.0000 -4.5360 0.0000 5.4056" Properties=species:S:1:pos:R:3 pbc="T T T"
Th -0.7070 0.0000 1.6127
Th 7.0763 0.0000 3.7928
Fe -0.8483 0.0000 4.9886
Fe 7.2175 0.0000 0.4170
Si 2.3278 0.0000 1.4876
Si 4.0415 0.0000 3.9180
C 5.4526 0.0000 0.0000
```

No. 3
# V2ReTc
Simulated PXRD pattern, Cu Kα, 1.54184 Å. Input: the GGA-PBE geometry in the Materials Project.
Peak positions follow from Bragg's law for the DFT cell and can differ from measured ones.

Most intense lines, 2θ from 15° to 90°, low angle first:
Position (°2θ), intensity
25.43, 11.4
29.44, 29.9
42.12, 100.0
49.84, 6.1
52.22, 8.7
61.09, 16.2
69.25, 11.6
76.99, 32.4

Structural model:
```
4
Lattice="0.0000 3.0339 3.0339 3.0339 0.0000 3.0339 3.0339 3.0339 0.0000" Properties=species:S:1:pos:R:3 pbc="T T T"
V 1.5169 1.5169 1.5169
V 4.5508 4.5508 4.5508
Re 0.0000 0.0000 0.0000
Tc 3.0339 3.0339 3.0339
```

No. 4
# Tm6InCo2
Simulated PXRD pattern, Cu Kα, 1.54184 Å. Input: the GGA-PBE geometry in the Materials Project.
Peak positions follow from Bragg's law for the DFT cell and can differ from measured ones.

Most intense lines, 2θ from 15° to 90°, low angle first:
Position (°2θ), intensity
28.64, 18.1
30.34, 22.5
32.48, 100.0
34.64, 29.8
35.06, 39.3
35.54, 30.0
38.75, 21.9
60.75, 21.9

Structural model:
```
18
Lattice="-4.6495 4.7353 4.9538 4.6495 -4.7353 4.9538 4.6495 4.7353 -4.9538" Properties=species:S:1:pos:R:3 pbc="T T T"
Tm 4.6495 2.7661 -2.6199
Tm 2.6627 1.7526 0.0000
Tm 6.6363 1.7526 0.0000
Tm 1.7988 4.7353 -1.8007
Tm 2.8507 0.0000 3.1530
Tm 0.0000 1.9692 2.3339
Tm 4.6495 2.7661 2.6199
Tm 1.7988 4.7353 1.8007
Tm 2.8507 0.0000 6.7545
Tm -1.9868 2.9827 4.9538
Tm 1.9868 2.9827 4.9538
Tm 0.0000 1.9692 7.5737
In 0.0000 0.0000 0.0000
In 0.0000 0.0000 4.9538
Co 4.6495 0.0000 1.1269
Co 0.0000 3.4923 0.0000
Co 0.0000 5.9783 0.0000
Co 0.0000 4.7353 3.8269
```

No. 5
# La2P3H7O11
Simulated PXRD pattern, Cu Kα, 1.54184 Å. Input: the GGA-PBE geometry in the Materials Project.
Peak positions follow from Bragg's law for the DFT cell and can differ from measured ones.

Most intense lines, 2θ from 15° to 90°, low angle first:
Position (°2θ), intensity
15.68, 100.0
21.30, 76.9
24.79, 87.5
25.10, 50.5
27.11, 51.3
27.91, 83.3
28.58, 59.9
30.15, 63.2

Structural model:
```
46
Lattice="8.3473 0.0000 0.0000 -2.3576 8.2644 0.0000 -1.4943 -4.5800 8.0494" Properties=species:S:1:pos:R:3 pbc="T T T"
La -0.4174 0.8090 2.8761
La 0.6164 -2.3521 8.0022
La 3.8791 6.0365 0.0472
La 4.9128 2.8754 5.1733
P -1.3014 6.9380 0.8528
P -0.1298 3.0126 5.9424
P 2.3559 -0.2363 5.2874
P 2.1396 3.9207 2.7620
P 4.6253 0.6717 2.1071
P 5.7968 -3.2536 7.1966
H -2.4097 5.5540 3.1549
H -1.2366 -0.3127 6.2868
H -1.5933 0.3707 7.6055
H -1.4625 4.9993 4.2915
H -0.2992 6.1057 1.3890
H 1.2042 4.8727 3.2253
H 1.0209 3.4960 5.2938
H 3.4746 0.1884 2.7556
H 3.2913 -1.1883 4.8241
H 4.7947 -2.4214 6.6604
H 5.9579 -1.3150 3.7579
H 6.0888 3.3136 0.4439
H 5.7320 3.9970 1.7626
H 6.9051 -1.8697 4.8945
O -1.2614 -3.0502 6.3426
O -3.0061 1.9332 7.4453
O -2.1934 4.7496 3.6902
O -1.2117 -0.4572 7.2528
O -0.9233 2.1564 4.9019
O 1.4770 0.1319 1.0657
O -1.0187 4.2321 6.2737
O 1.2444 -0.1987 4.2463
O 1.3895 2.5921 2.5154
O 0.3366 2.1839 7.1329
O 1.8621 -0.7345 6.6679
O 2.6333 4.4188 1.3815
O 4.1588 1.5005 0.9166
O 3.1059 1.0922 5.5340
O 3.2510 3.8831 3.8031
O 5.5142 -0.5477 1.7757
O 3.0185 3.5525 6.9838
O 5.4188 1.5280 3.1475
O 5.7072 4.1416 0.7966
O 6.6888 -1.0652 4.3592
O 7.5016 1.7512 0.6041
O 5.7569 6.7346 1.7068
```